[1]
For BeGa2Fe2, a structure optimized by DFT (GGA-PBE) gives the simulated X-ray diffraction stick pattern in this record (Cu Kα X-rays).
Lines closer than 0.1° are merged.

Structural model:
```
10
Lattice="5.650 0.000 0.000 0.000 5.650 0.000 0.000 0.000 3.791" Properties=species:S:1:pos:R:3 pbc="T T T"
Be 0.000 0.000 0.000
Be 2.825 2.825 0.000
Ga 0.945 1.881 1.895
Ga 1.881 4.706 1.895
Ga 3.770 0.945 1.895
Ga 4.706 3.770 1.895
Fe 0.811 3.636 0.000
Fe 2.014 0.811 0.000
Fe 3.636 4.839 0.000
Fe 4.839 2.014 0.000
```

Principal peaks in the range 2θ from 10° to 80°, by angle:
2θ = 22.25°, intensity 21; 2θ = 31.67°, intensity 13; 2θ = 43.02°, intensity 100; 2θ = 48.00°, intensity 16; 2θ = 51.12°, intensity 15; 2θ = 70.74°, intensity 7; 2θ = 72.73°, intensity 10; 2θ = 73.48°, intensity 11

[2]
For RbErSnF6, a structure optimized by DFT (GGA-PBE) gives the simulated X-ray diffraction stick pattern in this record (Cu Kα X-rays).
Lines closer than 0.1° are merged.

Structural model:
```
9
Lattice="5.018 0.000 0.000 -0.002 6.323 0.000 -0.002 -3.158 5.482" Properties=species:S:1:pos:R:3 pbc="T T T"
Rb 0.000 0.000 0.000
Er 2.064 3.164 1.827
Sn 2.478 0.003 3.655
F 1.048 -1.739 3.208
F 1.048 0.486 5.387
F 1.050 1.256 2.368
F 3.186 2.481 3.508
F 3.185 4.962 1.582
F 3.197 2.056 0.401
```

Principal peaks in the range 2θ from 10° to 80°, by angle:
2θ = 17.67°, intensity 33; 2θ = 24.05°, intensity 100; 2θ = 28.21°, intensity 65; 2θ = 33.49°, intensity 33; 2θ = 37.40°, intensity 38; 2θ = 46.18°, intensity 43; 2θ = 47.49°, intensity 33; 2θ = 49.93°, intensity 23

[3]
For Na2Np3Te6, a structure optimized by DFT (GGA-PBE) gives the simulated X-ray diffraction stick pattern in this record (Cu Kα X-rays).
Lines closer than 0.1° are merged.

Structural model:
```
11
Lattice="3.842 -6.653 0.000 3.842 6.653 0.000 -2.559 0.000 7.535" Properties=species:S:1:pos:R:3 pbc="T T T"
Na 3.842 4.432 0.000
Na 3.842 -4.432 0.000
Np -1.279 0.000 3.767
Np 2.562 2.220 3.767
Np 2.562 -2.220 3.767
Te 0.008 2.206 5.512
Te 1.294 0.000 2.024
Te 0.008 -2.206 5.512
Te 5.117 2.206 2.023
Te 3.831 0.000 5.511
Te 5.117 -2.206 2.023
```

Principal peaks in the range 2θ from 10° to 80°, by angle:
2θ = 11.75°, intensity 59; 2θ = 23.49°, intensity 26; 2θ = 28.09°, intensity 100; 2θ = 39.60°, intensity 39; 2θ = 40.68°, intensity 38; 2θ = 50.17°, intensity 20; 2θ = 64.96°, intensity 17; 2θ = 66.49°, intensity 17

[4]
For MgGa4Cu4, a structure optimized by DFT (GGA-PBE) gives the simulated X-ray diffraction stick pattern in this record (Cu Kα X-rays).
Lines closer than 0.1° are merged.

Structural model:
```
18
Lattice="5.759 0.000 0.000 0.000 5.759 0.000 0.000 0.000 8.598" Properties=species:S:1:pos:R:3 pbc="T T T"
Mg 1.440 4.319 2.150
Mg 4.319 1.440 6.449
Ga 0.165 1.440 1.467
Ga 1.440 0.165 5.766
Ga 1.440 2.714 5.766
Ga 2.714 1.440 1.467
Ga 3.045 4.319 7.131
Ga 4.319 3.045 2.832
Ga 4.319 5.594 2.832
Ga 5.594 4.319 7.131
Cu 0.084 1.440 4.036
Cu 1.440 0.084 8.335
Cu 1.440 2.795 8.335
Cu 2.795 1.440 4.036
Cu 2.964 4.319 4.562
Cu 4.319 2.964 0.263
Cu 4.319 5.675 0.263
Cu 5.675 4.319 4.562
```

Principal peaks in the range 2θ from 10° to 80°, by angle:
2θ = 18.54°, intensity 40; 2θ = 32.80°, intensity 16; 2θ = 36.42°, intensity 53; 2θ = 44.50°, intensity 52; 2θ = 44.61°, intensity 100; 2θ = 45.02°, intensity 25; 2θ = 64.75°, intensity 18; 2θ = 73.93°, intensity 15

[5]
For Ta6SbS12, a structure optimized by DFT (GGA-PBE) gives the simulated X-ray diffraction stick pattern in this record (Cu Kα X-rays).
Lines closer than 0.1° are merged.

Structural model:
```
19
Lattice="5.797 3.347 3.165 -5.797 3.347 3.165 0.000 -6.694 3.165" Properties=species:S:1:pos:R:3 pbc="T T T"
Ta 0.000 -2.688 3.591
Ta -2.328 1.344 3.591
Ta -2.328 -1.344 5.903
Ta 2.328 1.344 3.591
Ta 2.328 -1.344 5.903
Ta 0.000 2.688 5.903
Sb 0.000 0.000 0.000
S -2.158 -3.738 4.747
S -4.316 0.000 4.747
S -1.650 -0.953 3.480
S 1.650 -0.953 3.480
S 0.000 1.906 3.480
S 2.158 -3.738 4.747
S -2.158 3.738 4.747
S 0.000 -1.906 6.015
S -1.650 0.953 6.015
S 1.650 0.953 6.015
S 4.316 0.000 4.747
S 2.158 3.738 4.747
```

Principal peaks in the range 2θ from 10° to 80°, by angle:
2θ = 25.27°, intensity 100; 2θ = 25.83°, intensity 32; 2θ = 30.15°, intensity 44; 2θ = 30.85°, intensity 24; 2θ = 39.18°, intensity 30; 2θ = 40.29°, intensity 31; 2θ = 46.21°, intensity 27; 2θ = 49.27°, intensity 28

[6]
For SmHo2Tm5Th, a structure optimized by DFT (GGA-PBE) gives the simulated X-ray diffraction stick pattern in this record (Cu Kα X-rays).
Lines closer than 0.1° are merged.

Structural model:
```
18
Lattice="-4.361 4.361 7.410 4.361 -4.361 7.410 4.361 4.361 -7.410" Properties=species:S:1:pos:R:3 pbc="T T T"
Sm 4.361 0.000 3.705
Sm 0.000 4.361 3.705
Ho 5.358 0.996 0.000
Ho 0.996 3.365 0.000
Ho 3.365 0.996 7.410
Ho -0.996 3.365 7.410
Tm 0.000 0.000 0.000
Tm 2.546 1.815 -2.006
Tm 2.546 -1.815 5.404
Tm 2.546 1.815 2.006
Tm 2.546 -1.815 9.416
Tm 0.000 0.000 7.410
Tm 1.815 6.176 -2.006
Tm 1.815 2.546 5.404
Tm 1.815 6.176 2.006
Tm 1.815 2.546 9.416
Th 0.000 0.000 3.705
Th 0.000 0.000 11.115
```

Principal peaks in the range 2θ from 10° to 80°, by angle:
2θ = 28.95°, intensity 53; 2θ = 29.17°, intensity 44; 2θ = 31.69°, intensity 100; 2θ = 32.46°, intensity 18; 2θ = 37.67°, intensity 17; 2θ = 43.22°, intensity 22; 2θ = 53.06°, intensity 22; 2θ = 58.08°, intensity 13